Entry 1:
# Fe2Pd7Au2
Simulated X-ray diffraction stick pattern, Cu Kα (weighted mean of Kα1 and Kα2). Input: a DFT-relaxed cell (GGA-PBE, Alexandria).

Principal peaks in the range 15° ≤ 2θ ≤ 90°, sorted by position:
34.5 deg, rel. 40; 35.1 deg, rel. 70; 37.4 deg, rel. 100; 38.6 deg, rel. 33; 39.4 deg, rel. 63; 39.7 deg, rel. 36; 40.2 deg, rel. 53; 44.3 deg, rel. 67; 48.6 deg, rel. 39; 51.8 deg, rel. 31

Cell lengths 5.4790, 5.4790, 7.1445 Å; angles 95.67, 95.67, 122.50 degrees
Sites, in units of the cell vectors:
Fe 0.2405 0.7595 0.0000
Fe 0.7595 0.2405 0.0000
Pd 0.0740 0.5328 0.3201
Pd 0.3016 0.3016 0.0878
Pd 0.4672 0.9260 0.6799
Pd 0.5000 0.5000 0.5000
Pd 0.5328 0.0740 0.3201
Pd 0.6984 0.6984 0.9122
Pd 0.9260 0.4672 0.6799
Au 0.0800 0.0800 0.7006
Au 0.9200 0.9200 0.2994


Entry 2:
# Fe2Pt6Au
Simulated X-ray diffraction stick pattern, Cu Kα (weighted mean of Kα1 and Kα2). Input: a DFT-relaxed cell (GGA-PBE, Alexandria).

Principal peaks in the range 15° ≤ 2θ ≤ 90°, sorted by position:
39.5 deg, rel. 100; 39.7 deg, rel. 99; 46.0 deg, rel. 65; 46.2 deg, rel. 32; 67.2 deg, rel. 42; 80.7 deg, rel. 25; 81.0 deg, rel. 38; 81.1 deg, rel. 13; 85.1 deg, rel. 11; 85.5 deg, rel. 12

Cell lengths 4.8373, 4.8373, 8.3444 Å; angles 106.65, 106.65, 47.97 degrees
Sites, in units of the cell vectors:
Fe 0.1739 0.1739 0.2293
Fe 0.8261 0.8261 0.7707
Pt 0.1680 0.1680 0.8880
Pt 0.1703 0.1703 0.5554
Pt 0.4986 0.4986 0.3308
Pt 0.5014 0.5014 0.6692
Pt 0.8297 0.8297 0.4446
Pt 0.8320 0.8320 0.1120
Au 0.5000 0.5000 0.0000


Entry 3:
# FeRe2Au
Simulated X-ray diffraction stick pattern, Cu Kα (weighted mean of Kα1 and Kα2). Input: a DFT-relaxed cell (GGA-PBE, Alexandria).

Principal peaks in the range 15° ≤ 2θ ≤ 90°, sorted by position:
15.9 deg, rel. 8; 28.0 deg, rel. 7; 39.8 deg, rel. 100; 46.0 deg, rel. 17; 46.1 deg, rel. 16; 46.8 deg, rel. 16; 67.8 deg, rel. 20; 80.9 deg, rel. 6; 81.1 deg, rel. 11; 82.2 deg, rel. 13

Cell lengths 2.7818, 3.8805, 5.5809 Å; angles 90.00, 90.15, 90.00 degrees
Sites, in units of the cell vectors:
Fe 0.0000 0.0000 0.0000
Re 0.0105 0.0000 0.5449
Re 0.4666 0.5000 0.7607
Au 0.4940 0.5000 0.2536


Entry 4:
# Th6FeAu2
Simulated X-ray diffraction stick pattern, Cu Kα (weighted mean of Kα1 and Kα2). Input: a DFT-relaxed cell (GGA-PBE, Alexandria).

Principal peaks in the range 15° ≤ 2θ ≤ 90°, sorted by position:
31.8 deg, rel. 100; 34.0 deg, rel. 37; 36.2 deg, rel. 15; 40.1 deg, rel. 15; 43.8 deg, rel. 7; 48.8 deg, rel. 11; 50.5 deg, rel. 13; 59.5 deg, rel. 32; 62.3 deg, rel. 21; 85.4 deg, rel. 7

Cell lengths 8.6051, 8.6051, 3.7307 Å; angles 90.00, 90.00, 120.00 degrees
Sites, in units of the cell vectors:
Th 0.0000 0.2362 0.0000
Th 0.0000 0.5924 0.5000
Th 0.2362 0.0000 0.0000
Th 0.4076 0.4076 0.5000
Th 0.5924 0.0000 0.5000
Th 0.7638 0.7638 0.0000
Fe 0.0000 0.0000 0.5000
Au 0.3333 0.6667 0.0000
Au 0.6667 0.3333 0.0000


Entry 5:
# TlFe2Au
Simulated X-ray diffraction stick pattern, Cu Kα (weighted mean of Kα1 and Kα2). Input: a DFT-relaxed cell (GGA-PBE, Alexandria).

Principal peaks in the range 15° ≤ 2θ ≤ 90°, sorted by position:
30.9 deg, rel. 26; 34.1 deg, rel. 23; 36.7 deg, rel. 100; 38.2 deg, rel. 31; 41.7 deg, rel. 14; 44.2 deg, rel. 50; 57.8 deg, rel. 17; 60.7 deg, rel. 24; 69.7 deg, rel. 16; 76.3 deg, rel. 15

Cell lengths 8.8480, 8.8480, 8.8480 Å; angles 19.86, 19.86, 19.86 degrees
Sites, in units of the cell vectors:
Tl 0.0000 0.0000 0.0000
Fe 0.4860 0.4860 0.4860
Fe 0.7556 0.7556 0.7556
Au 0.2321 0.2321 0.2321


Entry 6:
# ZrFeAu2
Simulated X-ray diffraction stick pattern, Cu Kα (weighted mean of Kα1 and Kα2). Input: a DFT-relaxed cell (GGA-PBE, Alexandria).

Principal peaks in the range 15° ≤ 2θ ≤ 90°, sorted by position:
24.2 deg, rel. 30; 37.9 deg, rel. 100; 39.5 deg, rel. 9; 44.1 deg, rel. 49; 50.9 deg, rel. 9; 60.7 deg, rel. 8; 64.1 deg, rel. 32; 77.0 deg, rel. 38; 78.0 deg, rel. 4; 81.1 deg, rel. 11

Cell lengths 5.0324, 5.0324, 5.0324 Å; angles 131.83, 131.83, 70.50 degrees
Sites, in units of the cell vectors:
Zr 0.0000 0.0000 0.0000
Fe 0.2500 0.7500 0.5000
Au 0.5000 0.5000 0.0000
Au 0.7500 0.2500 0.5000